No. 1
Diffraction record for TbY3Ho5. The powder diffraction line list is theoretical, not measured: it uses the GGA-PBE geometry in Alexandria and Cu Kα X-rays.
Peak positions follow from Bragg's law for the DFT cell and can differ from measured ones.

Main lines, by angle (2θ = 10–90°):
- 16.1°, d = 5.493 Å, I = 35, (2 0 -2)
- 28.1°, d = 3.171 Å, I = 51, (0 2 0)
- 30.2°, d = 2.962 Å, I = 31, (2 2 0)
- 31.5°, d = 2.843 Å, I = 74, (1 1 3)
- 32.1°, d = 2.790 Å, I = 100, (6 0 0)
- 32.3°, d = 2.774 Å, I = 74, (5 1 -3)
- 32.5°, d = 2.753 Å, I = 67, (2 2 1)
- 34.2°, d = 2.619 Å, I = 34, (0 0 4)
- 34.5°, d = 2.598 Å, I = 45, (4 2 -1)
- 36.9°, d = 2.438 Å, I = 21, (6 0 -4)
- 37.0°, d = 2.429 Å, I = 27, (2 2 -3)
- 45.9°, d = 1.977 Å, I = 21, (1 3 -2)

```
data_TbY3Ho5
_space_group_name_H-M_alt 'C 1 2/c 1'
_space_group_IT_number 15
_cell_length_a 18.159
_cell_length_b 6.335
_cell_length_c 11.360
_cell_angle_alpha 90.00
_cell_angle_beta 112.77
_cell_angle_gamma 90.00
loop_
_space_group_symop_operation_xyz
'x,y,z'
'-x,-y,-z'
'-x,y,-z+1/2'
'x,-y,z+1/2'
'x+1/2,y+1/2,z'
'-x+1/2,-y+1/2,-z'
'-x+1/2,y+1/2,-z+1/2'
'x+1/2,-y+1/2,z+1/2'
loop_
_atom_site_label
_atom_site_fract_x
_atom_site_fract_y
_atom_site_fract_z
Tb1 0.000 0.133 0.250
Y1 0.000 0.000 0.000
Y2 0.170 0.176 0.870
Ho1 0.000 0.393 0.750
Ho2 0.160 0.310 0.511
Ho3 0.168 0.299 0.212
```

---

No. 2
Diffraction record for TbY4Ho7. The powder diffraction line list is theoretical, not measured: it uses the GGA-PBE geometry in Alexandria and Cu Kα X-rays.
Peak positions follow from Bragg's law for the DFT cell and can differ from measured ones.

Main lines, by angle (2θ = 10–90°):
- 15.9°, d = 5.584 Å, I = 19, (0 0 2)
- 20.7°, d = 4.299 Å, I = 41, (1 1 1)
- 28.2°, d = 3.163 Å, I = 21, (2 0 2)
- 30.5°, d = 2.927 Å, I = 98, (0 2 0)
- 30.9°, d = 2.896 Å, I = 87, (4 0 -3)
- 32.8°, d = 2.728 Å, I = 100, (1 1 -4)
- 33.7°, d = 2.659 Å, I = 62, (3 1 1)
- 33.8°, d = 2.651 Å, I = 72, (3 1 -4)
- 44.0°, d = 2.059 Å, I = 66, (4 2 -3)
- 55.7°, d = 1.650 Å, I = 20, (1 3 3)
- 56.4°, d = 1.632 Å, I = 33, (3 3 -4)
- 63.6°, d = 1.464 Å, I = 22, (0 4 0)

```
data_TbY4Ho7
_space_group_name_H-M_alt 'C 1 2/m 1'
_space_group_IT_number 12
_cell_length_a 11.994
_cell_length_b 5.854
_cell_length_c 12.656
_cell_angle_alpha 90.00
_cell_angle_beta 118.07
_cell_angle_gamma 90.00
loop_
_space_group_symop_operation_xyz
'x,y,z'
'-x,-y,-z'
'-x,y,-z'
'x,-y,z'
'x+1/2,y+1/2,z'
'-x+1/2,-y+1/2,-z'
'-x+1/2,y+1/2,-z'
'x+1/2,-y+1/2,z'
loop_
_atom_site_label
_atom_site_fract_x
_atom_site_fract_y
_atom_site_fract_z
Tb1 0.000 0.000 0.000
Y1 0.063 0.500 0.319
Y2 0.140 0.000 0.776
Ho1 0.000 0.500 0.000
Ho2 0.133 0.000 0.500
Ho3 0.213 0.500 0.924
Ho4 0.241 0.500 0.679
```

---

No. 3
Diffraction record for Tb8YHo6. The powder diffraction line list is theoretical, not measured: it uses the GGA-PBE geometry in Alexandria and Cu Kα X-rays.
Peak positions follow from Bragg's law for the DFT cell and can differ from measured ones.

Main lines, by angle (2θ = 10–90°):
- 24.4°, d = 3.644 Å, I = 7, (0 1 5)
- 30.6°, d = 2.922 Å, I = 25, (3 -1 1)
- 31.6°, d = 2.835 Å, I = 100, (3 -2 2)
- 32.5°, d = 2.752 Å, I = 29, (1 0 7)
- 32.8°, d = 2.730 Å, I = 11, (1 1 6)
- 35.0°, d = 2.560 Å, I = 12, (2 1 4)
- 36.9°, d = 2.434 Å, I = 14, (0 3 3)
- 53.3°, d = 1.718 Å, I = 13, (0 3 9)
- 53.8°, d = 1.704 Å, I = 6, (1 4 0)
- 54.2°, d = 1.692 Å, I = 7, (3 2 4)
- 55.6°, d = 1.654 Å, I = 10, (5 -1 3)
- 60.5°, d = 1.530 Å, I = 10, (5 -2 7)

```
data_Tb8YHo6
_space_group_name_H-M_alt 'R -3'
_space_group_IT_number 148
_space_group_name_Hall '-R 3'
_cell_length_a 9.0170
_cell_length_b 9.0170
_cell_length_c 20.5820
_cell_angle_alpha 90.00
_cell_angle_beta 90.00
_cell_angle_gamma 120.00
loop_
_atom_site_label
_atom_site_fract_x
_atom_site_fract_y
_atom_site_fract_z
Tb1 0.0000 0.0000 0.0769
Tb2 0.0814 0.5532 0.3081
Y1 0.0000 0.0000 0.5000
Ho1 0.0579 0.2463 0.2069
```

---

No. 4
Diffraction record for Tb5Y8Ho. The powder diffraction line list is theoretical, not measured: it uses the GGA-PBE geometry in Alexandria and Cu Kα X-rays.
Peak positions follow from Bragg's law for the DFT cell and can differ from measured ones.

Main lines, by angle (2θ = 10–90°):
- 21.9°, d = 4.052 Å, I = 19, (1 1 2)
- 22.5°, d = 3.945 Å, I = 36, (1 2 1)
- 28.1°, d = 3.179 Å, I = 61, (1 0 3)
- 29.3°, d = 3.045 Å, I = 75, (3 0 1)
- 29.5°, d = 3.030 Å, I = 83, (1 3 0)
- 31.8°, d = 2.814 Å, I = 21, (2 2 2)
- 33.8°, d = 2.649 Å, I = 100, (2 1 3)
- 34.5°, d = 2.599 Å, I = 45, (3 1 2)
- 34.9°, d = 2.570 Å, I = 53, (3 2 1)
- 42.2°, d = 2.142 Å, I = 24, (4 2 0)
- 55.1°, d = 1.666 Å, I = 20, (5 0 3)
- 63.1°, d = 1.473 Å, I = 24, (1 3 6)

```
data_Tb5Y8Ho
_space_group_name_H-M_alt 'I -4'
_space_group_IT_number 82
_cell_length_a 9.581
_cell_length_b 9.581
_cell_length_c 10.110
_cell_angle_alpha 90.00
_cell_angle_beta 90.00
_cell_angle_gamma 90.00
loop_
_space_group_symop_operation_xyz
'x,y,z'
'y,-x,-z'
'-x,-y,z'
'-y,x,-z'
'x+1/2,y+1/2,z+1/2'
'y+1/2,-x+1/2,-z+1/2'
'-x+1/2,-y+1/2,z+1/2'
'-y+1/2,x+1/2,-z+1/2'
loop_
_atom_site_label
_atom_site_fract_x
_atom_site_fract_y
_atom_site_fract_z
Tb1 0.000 0.000 0.000
Tb2 0.109 0.788 0.425
Y1 0.071 0.677 0.095
Y2 0.085 0.825 0.753
Ho1 0.000 0.500 0.750
```

---

No. 5
Diffraction record for Tb2YHo12. The powder diffraction line list is theoretical, not measured: it uses the GGA-PBE geometry in Alexandria and Cu Kα X-rays.
Peak positions follow from Bragg's law for the DFT cell and can differ from measured ones.

Main lines, by angle (2θ = 10–90°):
- 30.5°, d = 2.934 Å, I = 100, (0 1 7)
- 31.4°, d = 2.853 Å, I = 45, (1 1 2)
- 32.2°, d = 2.778 Å, I = 73, (0 2 0)
- 32.5°, d = 2.757 Å, I = 38, (1 0 -6)
- 32.7°, d = 2.741 Å, I = 82, (1 1 -4)
- 33.8°, d = 2.655 Å, I = 36, (0 1 8)
- 36.4°, d = 2.470 Å, I = 21, (1 1 5)
- 46.4°, d = 1.957 Å, I = 28, (1 2 -6)
- 51.6°, d = 1.770 Å, I = 20, (2 0 -1)
- 60.2°, d = 1.536 Å, I = 24, (1 1 13)
- 61.2°, d = 1.515 Å, I = 21, (2 1 -8)
- 62.2°, d = 1.493 Å, I = 22, (2 2 -1)

```
data_Tb2YHo12
_space_group_name_H-M_alt 'P 1 2/m 1'
_space_group_IT_number 10
_cell_length_a 3.540
_cell_length_b 5.556
_cell_length_c 24.247
_cell_angle_alpha 90.00
_cell_angle_beta 94.17
_cell_angle_gamma 90.00
loop_
_space_group_symop_operation_xyz
'x,y,z'
'-x,-y,-z'
'-x,y,-z'
'x,-y,z'
loop_
_atom_site_label
_atom_site_fract_x
_atom_site_fract_y
_atom_site_fract_z
Tb1 0.131 0.000 0.272
Y1 0.500 0.000 0.000
Ho1 0.034 0.500 0.074
Ho2 0.223 0.500 0.445
Ho3 0.287 0.000 0.574
Ho4 0.337 0.500 0.670
Ho5 0.405 0.500 0.799
Ho6 0.436 0.000 0.863
```

---

No. 6
Diffraction record for TbY8Ho3. The powder diffraction line list is theoretical, not measured: it uses the GGA-PBE geometry in Alexandria and Cu Kα X-rays.
Peak positions follow from Bragg's law for the DFT cell and can differ from measured ones.

Main lines, by angle (2θ = 10–90°):
- 19.6°, d = 4.532 Å, I = 12, (-1 1 1)
- 30.7°, d = 2.909 Å, I = 100, (0 2 0)
- 30.8°, d = 2.900 Å, I = 99, (2 0 0)
- 35.4°, d = 2.535 Å, I = 36, (1 1 -3)
- 35.8°, d = 2.510 Å, I = 33, (1 1 3)
- 35.9°, d = 2.501 Å, I = 33, (2 -2 0)
- 51.2°, d = 1.783 Å, I = 35, (2 2 0)
- 60.7°, d = 1.526 Å, I = 21, (2 0 -6)
- 61.1°, d = 1.516 Å, I = 14, (1 3 3)
- 61.3°, d = 1.512 Å, I = 27, (3 1 3)
- 61.5°, d = 1.509 Å, I = 13, (4 -2 0)
- 64.0°, d = 1.454 Å, I = 12, (0 4 0)

```
data_TbY8Ho3
_space_group_name_H-M_alt 'P -1'
_space_group_IT_number 2
_cell_length_a 6.131
_cell_length_b 6.154
_cell_length_c 10.709
_cell_angle_alpha 90.24
_cell_angle_beta 90.41
_cell_angle_gamma 109.03
loop_
_space_group_symop_operation_xyz
'x,y,z'
'-x,-y,-z'
loop_
_atom_site_label
_atom_site_fract_x
_atom_site_fract_y
_atom_site_fract_z
Tb1 0.000 0.000 0.000
Y1 0.000 0.000 0.334
Y2 0.000 0.500 0.166
Y3 0.500 0.000 0.166
Y4 0.500 0.500 0.334
Ho1 0.000 0.500 0.500
Ho2 0.500 0.000 0.500
Ho3 0.500 0.500 0.000
```